Simulated XRD peak list of Li3MnVP3O12 for λ = 1.5418 Å (Cu Kα), from a DFT-relaxed cell (PBE+U, the Materials Project).
Kinematic intensities with the Lorentz-polarization factor, no thermal factor.

a b c (Å): 8.4958 8.4958 22.7696
angles (deg): 90.00 90.00 120.00
Space group R3 (No. 146, hexagonal axes)
Asymmetric unit:
Li  0.0216  0.3861  0.0000 x9
Li  0.0436  0.6949  0.9010 x9
Mn  0.0000  0.0000  0.4311 x3
Mn  0.0000  0.0000  0.6334 x3
V  0.0000  0.0000  0.1367 x3
V  0.0000  0.0000  0.9351 x3
P  0.0400  0.3701  0.2005 x9
P  0.0477  0.6677  0.7010 x9
O  0.0060  0.2050  0.4775 x9
O  0.0074  0.8150  0.0919 x9
O  0.0426  0.8267  0.3727 x9
O  0.0903  0.8586  0.9834 x9
O  0.0908  0.5598  0.3522 x9
O  0.1749  0.4552  0.8591 x9
O  0.1784  0.4142  0.2519 x9
O  0.1925  0.4391  0.5535 x9

The 10 most intense peaks (10 to 80 degrees two-theta), by angle:
d_spacing	two_theta	I (rel.)	h k l
6.179	14.33	68	0 1 2
4.502	19.72	65	1 0 4
3.707	24.01	100	2 -1 3
3.090	28.90	45	0 2 4
2.830	31.61	72	2 -1 6
2.760	32.43	17	2 1 1
2.453	36.64	19	3 0 0
2.334	38.58	17	3 0 3
1.853	49.16	17	4 -2 6
1.762	51.90	20	3 -1 10

Simulated XRD peak list of Li4Mn3VP4O16 for λ = 1.5418 Å (Cu Kα), from a DFT-relaxed cell (PBE+U, the Materials Project).
Kinematic intensities with the Lorentz-polarization factor, no thermal factor.

a b c (Å): 4.790 6.170 10.559
angles (deg): 90.00 90.03 90.00
Space group Pm (No. 6)
Asymmetric unit:
Li  0.000  0.249  0.000 x2
Li  0.500  0.251  0.500 x2
Mn  0.027  0.500  0.279 x1
Mn  0.472  0.500  0.781 x1
Mn  0.973  0.000  0.719 x1
V  0.523  0.000  0.222 x1
P  0.091  0.000  0.406 x1
P  0.411  0.000  0.908 x1
P  0.591  0.500  0.091 x1
P  0.911  0.500  0.591 x1
O  0.211  0.000  0.543 x1
O  0.226  0.201  0.337 x2
O  0.231  0.500  0.595 x1
O  0.270  0.500  0.095 x1
O  0.277  0.200  0.839 x2
O  0.291  0.000  0.045 x1
O  0.713  0.500  0.954 x1
O  0.724  0.299  0.160 x2
O  0.732  0.000  0.903 x1
O  0.770  0.000  0.402 x1
O  0.777  0.299  0.660 x2
O  0.789  0.500  0.454 x1

The 10 most intense peaks (10 to 80 degrees two-theta), by angle:
d_spacing	two_theta	I (rel.)	h k l
5.280	16.79	23	0 0 2
4.362	20.36	56	1 0 1
4.012	22.16	23	0 1 2
3.562	25.00	68	1 1 -1
3.084	28.96	76	0 2 0
2.577	34.81	100	1 1 -3
2.519	35.64	30	1 2 1
1.781	51.31	41	2 2 -2
1.665	55.16	24	1 3 -3
1.529	60.56	28	0 2 6